Record 1
# PbS
Calculated XRD peak list, Cu Kα, 1.54184 Å. Input: a cell relaxed with PBE.

Structure:
Unit cell a=7.004 b=6.146 c=6.277 alpha=90.00 beta=90.00 gamma=90.00
Space group Pma2 (No. 28)
One atom of each set of equivalent atoms:
Pb1 0.250 0.164 0.000 x2
Pb2 0.250 0.695 0.454 x2
S1 0.000 0.000 0.314 x2
S2 0.250 0.753 0.866 x2

Top 10 peaks for 2θ from 10° to 90°, sorted by position:
- 20.22 deg, 4.392 Å, I = 16, (0 1 1)
- 23.92 deg, 3.721 Å, I = 100, (1 1 1)
- 25.43 deg, 3.502 Å, I = 32, (2 0 0)
- 28.44 deg, 3.139 Å, I = 22, (0 0 2)
- 31.80 deg, 2.814 Å, I = 21, (1 2 0)
- 32.71 deg, 2.738 Å, I = 15, (2 1 1)
- 38.52 deg, 2.337 Å, I = 22, (2 0 2)
- 43.18 deg, 2.095 Å, I = 18, (1 2 2)
- 43.92 deg, 2.061 Å, I = 21, (3 1 1)
- 47.71 deg, 1.906 Å, I = 18, (1 1 3)

Record 2
# PbS
Calculated XRD peak list, Cu Kα, 1.54184 Å. Input: a cell relaxed with PBE.

Structure:
Unit cell a=4.198 b=12.261 c=4.303 alpha=90.00 beta=90.00 gamma=90.00
Space group Cmcm (No. 63)
One atom of each set of equivalent atoms:
Pb1 0.000 0.133 0.250 x4
S1 0.000 0.354 0.250 x4

Top 10 peaks for 2θ from 10° to 90°, sorted by position:
- 22.39 deg, 3.971 Å, I = 45, (1 1 0)
- 25.29 deg, 3.522 Å, I = 72, (0 2 1)
- 29.13 deg, 3.065 Å, I = 47, (0 4 0)
- 30.53 deg, 2.928 Å, I = 28, (1 3 0)
- 30.63 deg, 2.918 Å, I = 100, (1 1 1)
- 37.14 deg, 2.421 Å, I = 34, (1 3 1)
- 47.88 deg, 1.900 Å, I = 40, (1 5 1)
- 50.63 deg, 1.803 Å, I = 24, (2 2 1)
- 52.84 deg, 1.733 Å, I = 31, (2 4 0)
- 69.70 deg, 1.349 Å, I = 26, (2 4 2)

Record 3
# PbS
Calculated XRD peak list, Cu Kα, 1.54184 Å. Input: a cell relaxed with PBE.

Structure:
Unit cell a=6.006 b=5.999 c=16.687 alpha=90.00 beta=94.44 gamma=90.00
Space group C2/m (No. 12)
One atom of each set of equivalent atoms:
Pb1 0.233 0.000 0.413 x4
S1 0.234 0.500 0.425 x4

Top 10 peaks for 2θ from 10° to 90°, sorted by position:
- 10.64 deg, 8.318 Å, I = 100, (0 0 2)
- 21.36 deg, 4.160 Å, I = 42, (0 0 4)
- 23.02 deg, 3.863 Å, I = 54, (1 1 -2)
- 24.08 deg, 3.695 Å, I = 60, (1 1 2)
- 25.75 deg, 3.460 Å, I = 58, (1 1 -3)
- 26.79 deg, 3.327 Å, I = 41, (0 0 5)
- 27.17 deg, 3.282 Å, I = 49, (1 1 3)
- 29.81 deg, 2.997 Å, I = 78, (0 2 0)
- 30.28 deg, 2.952 Å, I = 57, (0 2 1)
- 42.71 deg, 2.117 Å, I = 42, (2 0 -6)